[1]
This entry pairs a crystal structure of V3Te4I2 with its simulated powder diffraction line list. Radiation: a wavelength of 1.5418 Å. Structure: the GGA-PBE geometry in Alexandria.
Kinematic intensities with the Lorentz-polarization factor, no thermal factor.

Principal peaks in the range 2θ = 10–90°, in order of falling intensity:
d_spacing	two_theta	I/Imax
2.592	34.61	100
3.153	28.31	75
2.112	42.82	65
7.585	11.67	53
1.820	50.11	52
3.792	23.46	51

Structure:
```
9
Lattice="3.641 0.000 0.000 -1.820 3.153 0.000 0.000 0.000 22.755" Properties=species:S:1:pos:R:3 pbc="T T T"
V 0.000 0.000 0.000
V 0.000 2.102 7.349
V 0.000 2.102 15.405
Te 0.000 0.000 5.611
Te 0.000 0.000 9.088
Te 0.000 0.000 13.667
Te 0.000 0.000 17.143
I 0.000 2.102 1.771
I 0.000 2.102 20.984
```

***

[2]
This entry pairs a crystal structure of ThTl2I5 with its simulated powder diffraction line list. Radiation: a wavelength of 1.5418 Å. Structure: the GGA-PBE geometry in Alexandria.
Kinematic intensities with the Lorentz-polarization factor, no thermal factor.

Principal peaks in the range 2θ = 10–90°, in order of falling intensity:
d_spacing	two_theta	I/Imax
3.036	29.42	100
4.536	19.57	89
6.823	12.97	82
7.268	12.18	82
2.671	33.55	70
3.634	24.50	63

Structure:
```
8
Lattice="8.052 -4.296 0.000 8.052 4.296 0.000 -4.557 0.000 7.271" Properties=species:S:1:pos:R:3 pbc="T T T"
Th 0.000 0.000 0.000
Tl -0.095 0.000 5.002
Tl 10.254 0.000 1.354
I 5.328 2.194 5.934
I 7.671 2.191 2.235
I 9.013 0.000 5.691
I 5.328 -2.194 5.934
I 7.671 -2.191 2.235
```

***

[3]
This entry pairs a crystal structure of Ti4I with its simulated powder diffraction line list. Radiation: a wavelength of 1.5418 Å. Structure: the GGA-PBE geometry in Alexandria.
Kinematic intensities with the Lorentz-polarization factor, no thermal factor.

Principal peaks in the range 2θ = 10–90°, in order of falling intensity:
d_spacing	two_theta	I/Imax
2.452	36.65	100
4.904	18.09	96
3.468	25.69	82
1.734	52.80	65
2.193	41.16	46
2.002	45.30	35

Structure:
```
5
Lattice="4.904 0.000 0.000 0.000 4.904 0.000 0.000 0.000 4.904" Properties=species:S:1:pos:R:3 pbc="T T T"
Ti 0.000 0.000 0.000
Ti 0.000 2.452 2.452
Ti 2.452 0.000 2.452
Ti 2.452 2.452 0.000
I 2.452 2.452 2.452
```

***

[4]
This entry pairs a crystal structure of Ti4TlI7 with its simulated powder diffraction line list. Radiation: a wavelength of 1.5418 Å. Structure: the GGA-PBE geometry in Alexandria.
Kinematic intensities with the Lorentz-polarization factor, no thermal factor.

Principal peaks in the range 2θ = 10–90°, in order of falling intensity:
d_spacing	two_theta	I/Imax
3.333	26.74	100
7.982	11.09	45
2.578	34.80	34
3.991	22.28	28
2.154	41.95	24
2.611	34.35	23

Structure:
```
24
Lattice="5.155 0.000 0.000 0.000 20.886 0.000 0.000 0.000 7.982" Properties=species:S:1:pos:R:3 pbc="T T T"
Ti 1.289 0.116 0.746
Ti 1.289 2.238 6.933
Ti 1.289 8.205 6.933
Ti 1.289 10.327 0.746
Ti 3.867 10.559 7.235
Ti 3.867 12.682 1.049
Ti 3.867 18.648 1.049
Ti 3.867 20.770 7.235
Tl 1.289 15.665 7.491
Tl 3.867 5.222 0.490
I 1.289 2.940 1.613
I 1.289 5.222 6.149
I 1.289 7.503 1.613
I 1.289 10.793 5.932
I 1.289 12.805 2.205
I 1.289 18.524 2.205
I 1.289 20.536 5.932
I 3.867 0.350 2.049
I 3.867 2.362 5.777
I 3.867 8.081 5.777
I 3.867 10.093 2.049
I 3.867 13.383 6.368
I 3.867 15.665 1.833
I 3.867 17.946 6.368
```

***

[5]
This entry pairs a crystal structure of Ti3TlI12 with its simulated powder diffraction line list. Radiation: a wavelength of 1.5418 Å. Structure: the GGA-PBE geometry in Alexandria.
Kinematic intensities with the Lorentz-polarization factor, no thermal factor.

Principal peaks in the range 2θ = 10–90°, in order of falling intensity:
d_spacing	two_theta	I/Imax
3.312	26.92	100
3.376	26.40	47
5.808	15.25	38
3.745	23.76	35
1.861	48.93	28
4.403	20.17	26

Structure:
```
32
Lattice="15.592 0.000 0.000 -7.796 13.503 0.000 0.000 0.000 8.708" Properties=species:S:1:pos:R:3 pbc="T T T"
Ti -1.311 5.453 2.177
Ti -2.418 11.912 2.177
Ti 4.067 3.862 6.531
Ti 3.729 9.641 2.177
Ti 10.214 1.591 6.531
Ti 9.107 8.050 6.531
Tl 0.000 9.002 6.531
Tl 7.796 4.501 2.177
I -3.647 6.523 2.177
I -1.479 2.897 2.177
I -4.548 13.335 2.177
I 1.769 2.729 6.531
I 0.001 6.185 0.057
I 0.001 6.185 4.297
I -2.440 10.409 0.057
I -2.440 10.409 4.297
I 5.357 3.091 4.411
I 5.357 3.091 8.651
I -0.324 13.400 2.177
I 3.825 6.420 6.531
I 3.971 7.083 2.177
I 8.119 0.103 6.531
I 2.439 10.412 0.057
I 2.439 10.412 4.297
I 10.236 3.094 4.411
I 10.236 3.094 8.651
I 7.795 7.318 4.411
I 7.795 7.318 8.651
I 6.027 10.774 2.177
I 12.344 0.168 6.531
I 9.275 10.606 6.531
I 11.443 6.980 6.531
```

***

[6]
This entry pairs a crystal structure of Ti3Tl2I9 with its simulated powder diffraction line list. Radiation: a wavelength of 1.5418 Å. Structure: the GGA-PBE geometry in Alexandria.
Kinematic intensities with the Lorentz-polarization factor, no thermal factor.

Principal peaks in the range 2θ = 10–90°, in order of falling intensity:
d_spacing	two_theta	I/Imax
3.283	27.16	100
3.330	26.77	72
3.083	28.96	59
3.067	29.12	59
3.473	25.65	45
2.714	33.00	42

Structure:
```
28
Lattice="5.808 -9.458 0.000 5.808 9.458 0.000 -4.417 0.000 9.848" Properties=species:S:1:pos:R:3 pbc="T T T"
Ti 0.921 1.583 1.329
Ti -2.283 0.000 8.527
Ti 0.921 -1.583 1.329
Ti 6.277 1.583 8.519
Ti 9.480 0.000 1.321
Ti 6.277 -1.583 8.519
Tl 1.656 3.127 6.576
Tl 5.542 3.127 3.272
Tl 1.656 -3.127 6.576
Tl 5.542 -3.127 3.272
I 2.598 7.550 6.773
I 2.089 3.813 3.243
I 4.600 7.550 3.075
I 3.398 1.977 0.124
I 5.808 5.617 0.000
I 0.144 0.000 6.880
I 2.175 0.000 3.200
I 3.398 -1.977 0.124
I 5.108 3.813 6.606
I 2.089 -3.813 3.243
I 3.800 1.977 9.725
I 5.023 0.000 6.649
I 7.054 0.000 2.969
I 5.808 -5.617 0.000
I 3.800 -1.977 9.725
I 2.598 -7.550 6.773
I 5.108 -3.813 6.606
I 4.600 -7.550 3.075
```